Record 1
# ReRh4
Theoretical PXRD pattern, Cu Kα (weighted mean of Kα1 and Kα2). Input: a structure optimized by DFT (GGA-PBE).

Structure:
```
data_ReRh4
_symmetry_space_group_name_H-M 'P 1'
_symmetry_Int_Tables_number 1
_symmetry_space_group_name_Hall 'P 1'
_cell_length_a 5.1775
_cell_length_b 5.1775
_cell_length_c 7.0114
_cell_angle_alpha 108.80
_cell_angle_beta 108.80
_cell_angle_gamma 54.49
loop_
_atom_site_label
_atom_site_fract_x
_atom_site_fract_y
_atom_site_fract_z
Re1 0.1021 0.1021 0.2044
Re2 0.8979 0.8979 0.7956
Rh1 0.1671 0.8329 0.5000
Rh2 0.3055 0.2987 0.6046
Rh3 0.3637 0.0271 0.9033
Rh4 0.5103 0.4897 0.0000
Rh5 0.5665 0.2330 0.3015
Rh6 0.7013 0.6945 0.3954
Rh7 0.7670 0.4335 0.6985
Rh8 0.9729 0.6363 0.0967
```

Peak list (10 most intense, 15° ≤ 2θ ≤ 90°, by intensity)
2θ/deg  d (Å)  Rel. int.
43.34  2.088  100
43.40  2.085  50
41.12  2.195  39
37.93  2.372  38
68.52  1.369  25
76.55  1.244  18
57.23  1.610  15
83.24  1.161  15
84.71  1.144  14
83.09  1.162  10

Record 2
# ReRh
Theoretical PXRD pattern, Cu Kα (weighted mean of Kα1 and Kα2). Input: a structure optimized by DFT (GGA-PBE).

Structure:
```
data_ReRh
_symmetry_space_group_name_H-M 'P 1'
_symmetry_Int_Tables_number 1
_symmetry_space_group_name_Hall 'P 1'
_cell_length_a 3.8920
_cell_length_b 3.8817
_cell_length_c 11.5517
_cell_angle_alpha 90.00
_cell_angle_beta 90.00
_cell_angle_gamma 90.00
loop_
_atom_site_label
_atom_site_fract_x
_atom_site_fract_y
_atom_site_fract_z
Re1 0.0000 0.0000 0.0000
Re2 0.0000 0.0000 0.3418
Re3 0.0000 0.5000 0.5000
Re4 0.0000 0.5000 0.8418
Re5 0.5000 0.0000 0.8377
Re6 0.5000 0.5000 0.3377
Rh1 0.0000 0.0000 0.6728
Rh2 0.0000 0.5000 0.1728
Rh3 0.5000 0.0000 0.1748
Rh4 0.5000 0.0000 0.5032
Rh5 0.5000 0.5000 0.0032
Rh6 0.5000 0.5000 0.6748
```

Peak list (10 most intense, 15° ≤ 2θ ≤ 90°, by intensity)
2θ/deg  d (Å)  Rel. int.
40.32  2.237  100
46.68  1.946  17
46.81  1.941  16
47.21  1.925  16
82.26  1.172  13
82.45  1.170  13
83.04  1.163  12
87.14  1.119  11
68.25  1.374  11
68.56  1.369  10

Record 3
# Re3Rh5
Theoretical PXRD pattern, Cu Kα (weighted mean of Kα1 and Kα2). Input: a structure optimized by DFT (GGA-PBE).

Structure:
```
data_Re3Rh5
_symmetry_space_group_name_H-M 'P 1'
_symmetry_Int_Tables_number 1
_symmetry_space_group_name_Hall 'P 1'
_cell_length_a 7.0235
_cell_length_b 7.0235
_cell_length_c 5.1829
_cell_angle_alpha 108.45
_cell_angle_beta 108.45
_cell_angle_gamma 85.30
loop_
_atom_site_label
_atom_site_fract_x
_atom_site_fract_y
_atom_site_fract_z
Re1 0.0422 0.9578 0.7500
Re2 0.1662 0.5814 0.4981
Re3 0.4186 0.8338 0.0019
Re4 0.5814 0.1662 0.9981
Re5 0.8338 0.4186 0.5019
Re6 0.9578 0.0422 0.2500
Rh1 0.0821 0.6665 0.9946
Rh2 0.2052 0.2881 0.7412
Rh3 0.2881 0.2052 0.2412
Rh4 0.3335 0.9179 0.5054
Rh5 0.4632 0.5368 0.2500
Rh6 0.5368 0.4632 0.7500
Rh7 0.6665 0.0821 0.4946
Rh8 0.7119 0.7948 0.7588
Rh9 0.7948 0.7119 0.2588
Rh10 0.9179 0.3335 0.0054
```

Peak list (10 most intense, 15° ≤ 2θ ≤ 90°, by intensity)
2θ/deg  d (Å)  Rel. int.
43.25  2.092  100
43.09  2.099  50
41.26  2.188  38
37.66  2.389  25
76.64  1.243  18
68.18  1.375  17
82.82  1.166  15
57.19  1.611  15
37.81  2.380  14
82.99  1.164  10

Record 4
# Re7Rh
Theoretical PXRD pattern, Cu Kα (weighted mean of Kα1 and Kα2). Input: a structure optimized by DFT (GGA-PBE).

Structure:
```
data_Re7Rh
_symmetry_space_group_name_H-M 'P 1'
_symmetry_Int_Tables_number 1
_symmetry_space_group_name_Hall 'P 1'
_cell_length_a 5.5350
_cell_length_b 11.0395
_cell_length_c 3.9050
_cell_angle_alpha 90.00
_cell_angle_beta 90.00
_cell_angle_gamma 90.00
loop_
_atom_site_label
_atom_site_fract_x
_atom_site_fract_y
_atom_site_fract_z
Re1 0.0000 0.0000 0.0000
Re2 0.0000 0.2517 0.0000
Re3 0.0000 0.7483 0.0000
Re4 0.2458 0.3743 0.5000
Re5 0.2458 0.6257 0.5000
Re6 0.2542 0.1257 0.5000
Re7 0.2542 0.8743 0.5000
Re8 0.5000 0.2483 0.0000
Re9 0.5000 0.5000 0.0000
Re10 0.5000 0.7517 0.0000
Re11 0.7458 0.1257 0.5000
Re12 0.7458 0.8743 0.5000
Re13 0.7542 0.3743 0.5000
Re14 0.7542 0.6257 0.5000
Rh1 0.0000 0.5000 0.0000
Rh2 0.5000 0.0000 0.0000
```

Peak list (10 most intense, 15° ≤ 2θ ≤ 90°, by intensity)
2θ/deg  d (Å)  Rel. int.
39.97  2.256  100
46.48  1.954  49
67.87  1.381  27
81.79  1.178  26
81.65  1.179  13
86.13  1.129  6
86.33  1.127  6
67.71  1.384  5
29.14  3.065  2
16.06  5.520  1

Record 5
# ReRu2Rh6
Theoretical PXRD pattern, Cu Kα (weighted mean of Kα1 and Kα2). Input: a structure optimized by DFT (GGA-PBE).

Structure:
```
data_ReRu2Rh6
_symmetry_space_group_name_H-M 'P 1'
_symmetry_Int_Tables_number 1
_symmetry_space_group_name_Hall 'P 1'
_cell_length_a 6.8006
_cell_length_b 6.8006
_cell_length_c 6.8006
_cell_angle_alpha 45.38
_cell_angle_beta 45.38
_cell_angle_gamma 45.38
loop_
_atom_site_label
_atom_site_fract_x
_atom_site_fract_y
_atom_site_fract_z
Re1 0.0000 0.0000 0.0000
Ru1 0.2644 0.2644 0.2644
Ru2 0.3895 0.3895 0.3895
Rh1 0.2382 0.7190 0.7190
Rh2 0.4463 0.9327 0.9327
Rh3 0.7190 0.2382 0.7190
Rh4 0.7190 0.7190 0.2382
Rh5 0.9327 0.4463 0.9327
Rh6 0.9327 0.9327 0.4463
```

Peak list (10 most intense, 15° ≤ 2θ ≤ 90°, by intensity)
2θ/deg  d (Å)  Rel. int.
47.11  1.929  100
44.57  2.033  100
39.99  2.254  92
37.33  2.409  71
72.00  1.312  43
44.40  2.040  38
20.14  4.409  33
27.70  3.221  31
88.80  1.102  29
29.34  3.044  28

Record 6
# Re2Ru3Rh3
Theoretical PXRD pattern, Cu Kα (weighted mean of Kα1 and Kα2). Input: a structure optimized by DFT (GGA-PBE).

Structure:
```
data_Re2Ru3Rh3
_symmetry_space_group_name_H-M 'P 1'
_symmetry_Int_Tables_number 1
_symmetry_space_group_name_Hall 'P 1'
_cell_length_a 4.9112
_cell_length_b 4.9112
_cell_length_c 4.9112
_cell_angle_alpha 94.65
_cell_angle_beta 94.65
_cell_angle_gamma 94.65
loop_
_atom_site_label
_atom_site_fract_x
_atom_site_fract_y
_atom_site_fract_z
Re1 0.2455 0.2455 0.2455
Re2 0.7545 0.7545 0.7545
Ru1 0.0000 0.7097 0.2903
Ru2 0.2903 0.0000 0.7097
Ru3 0.7097 0.2903 0.0000
Rh1 0.2149 0.5000 0.7851
Rh2 0.5000 0.7851 0.2149
Rh3 0.7851 0.2149 0.5000
```

Peak list (10 most intense, 15° ≤ 2θ ≤ 90°, by intensity)
2θ/deg  d (Å)  Rel. int.
43.41  2.085  100
42.92  2.107  72
36.87  2.438  62
44.86  2.021  55
26.98  3.305  32
39.85  2.262  25
69.87  1.346  25
49.01  1.859  22
78.29  1.221  20
73.07  1.295  20

Record 7
# Re2RhSe5
Theoretical PXRD pattern, Cu Kα (weighted mean of Kα1 and Kα2). Input: a structure optimized by DFT (GGA-PBE).

Structure:
```
data_Re2RhSe5
_symmetry_space_group_name_H-M 'P 1'
_symmetry_Int_Tables_number 1
_symmetry_space_group_name_Hall 'P 1'
_cell_length_a 5.5379
_cell_length_b 6.5346
_cell_length_c 6.6418
_cell_angle_alpha 118.27
_cell_angle_beta 92.91
_cell_angle_gamma 108.79
loop_
_atom_site_label
_atom_site_fract_x
_atom_site_fract_y
_atom_site_fract_z
Re1 0.0000 0.0000 0.0000
Re2 0.4204 0.7991 0.4493
Rh1 0.9596 0.9359 0.5565
Se1 0.0604 0.7371 0.1733
Se2 0.1263 0.6924 0.6861
Se3 0.3867 0.3740 0.2183
Se4 0.7444 0.1566 0.8447
Se5 0.7533 0.0698 0.3247
```

Peak list (10 most intense, 15° ≤ 2θ ≤ 90°, by intensity)
2θ/deg  d (Å)  Rel. int.
16.76  5.291  100
28.74  3.106  42
15.92  5.567  41
21.51  4.131  32
20.42  4.350  32
41.53  2.175  30
45.80  1.981  21
33.90  2.644  21
17.44  5.084  21
43.30  2.089  21

Record 8
# ReTcRh2Se
Theoretical PXRD pattern, Cu Kα (weighted mean of Kα1 and Kα2). Input: a structure optimized by DFT (GGA-PBE).

Structure:
```
data_ReTcRh2Se
_symmetry_space_group_name_H-M 'P 1'
_symmetry_Int_Tables_number 1
_symmetry_space_group_name_Hall 'P 1'
_cell_length_a 4.5008
_cell_length_b 4.5008
_cell_length_c 4.5764
_cell_angle_alpha 90.00
_cell_angle_beta 90.00
_cell_angle_gamma 90.00
loop_
_atom_site_label
_atom_site_fract_x
_atom_site_fract_y
_atom_site_fract_z
Re1 0.0000 0.0000 0.0000
Tc1 0.5000 0.5000 0.0000
Rh1 0.0000 0.5000 0.5000
Rh2 0.5000 0.0000 0.5000
Se1 0.0000 0.0000 0.5000
```

Peak list (10 most intense, 15° ≤ 2θ ≤ 90°, by intensity)
2θ/deg  d (Å)  Rel. int.
34.32  2.613  100
40.07  2.250  62
57.43  1.604  43
39.38  2.288  33
19.73  4.501  30
69.12  1.359  26
72.33  1.306  21
57.96  1.591  21
68.17  1.376  13
28.04  3.183  11

Record 9
# Sr2ReRh
Theoretical PXRD pattern, Cu Kα (weighted mean of Kα1 and Kα2). Input: a structure optimized by DFT (GGA-PBE).

Structure:
```
data_Sr2ReRh
_symmetry_space_group_name_H-M 'P 1'
_symmetry_Int_Tables_number 1
_symmetry_space_group_name_Hall 'P 1'
_cell_length_a 4.2381
_cell_length_b 4.2381
_cell_length_c 25.5597
_cell_angle_alpha 90.00
_cell_angle_beta 90.00
_cell_angle_gamma 120.00
loop_
_atom_site_label
_atom_site_fract_x
_atom_site_fract_y
_atom_site_fract_z
Sr1 0.0000 0.0000 0.0000
Sr2 0.0000 0.0000 0.1776
Sr3 0.3333 0.6667 0.6667
Sr4 0.3333 0.6667 0.8442
Sr5 0.6667 0.3333 0.3333
Sr6 0.6667 0.3333 0.5109
Re1 0.0000 0.0000 0.4218
Re2 0.3333 0.6667 0.0885
Re3 0.6667 0.3333 0.7552
Rh1 0.0000 0.0000 0.7557
Rh2 0.3333 0.6667 0.4223
Rh3 0.6667 0.3333 0.0890
```

Peak list (10 most intense, 15° ≤ 2θ ≤ 90°, by intensity)
2θ/deg  d (Å)  Rel. int.
29.97  2.981  100
42.67  2.119  81
28.04  3.183  79
34.65  2.589  51
61.75  1.502  51
44.04  2.056  50
53.99  1.698  44
31.50  2.840  34
42.44  2.130  26
37.31  2.410  22

Record 10
# TaRe2Rh
Theoretical PXRD pattern, Cu Kα (weighted mean of Kα1 and Kα2). Input: a structure optimized by DFT (GGA-PBE).

Structure:
```
data_TaRe2Rh
_symmetry_space_group_name_H-M 'P 1'
_symmetry_Int_Tables_number 1
_symmetry_space_group_name_Hall 'P 1'
_cell_length_a 3.9834
_cell_length_b 3.9834
_cell_length_c 7.8151
_cell_angle_alpha 90.00
_cell_angle_beta 90.00
_cell_angle_gamma 90.00
loop_
_atom_site_label
_atom_site_fract_x
_atom_site_fract_y
_atom_site_fract_z
Ta1 0.0000 0.0000 0.0000
Ta2 0.5000 0.5000 0.5000
Re1 0.0000 0.0000 0.5000
Re2 0.0000 0.5000 0.2500
Re3 0.5000 0.0000 0.7500
Re4 0.5000 0.5000 0.0000
Rh1 0.0000 0.5000 0.7500
Rh2 0.5000 0.0000 0.2500
```

Peak list (10 most intense, 15° ≤ 2θ ≤ 90°, by intensity)
2θ/deg  d (Å)  Rel. int.
39.44  2.285  100
45.54  1.992  33
80.03  1.199  26
67.11  1.395  21
46.48  1.954  16
81.40  1.182  13
84.87  1.142  11
66.38  1.408  11
25.09  3.549  4
52.70  1.737  1

Record 11
# ReTcRh4
Theoretical PXRD pattern, Cu Kα (weighted mean of Kα1 and Kα2). Input: a structure optimized by DFT (GGA-PBE).

Structure:
```
data_ReTcRh4
_symmetry_space_group_name_H-M 'P 1'
_symmetry_Int_Tables_number 1
_symmetry_space_group_name_Hall 'P 1'
_cell_length_a 2.7271
_cell_length_b 2.7271
_cell_length_c 11.5739
_cell_angle_alpha 90.00
_cell_angle_beta 90.00
_cell_angle_gamma 90.00
loop_
_atom_site_label
_atom_site_fract_x
_atom_site_fract_y
_atom_site_fract_z
Re1 0.0000 0.0000 0.0000
Tc1 0.5000 0.5000 0.5000
Rh1 0.0000 0.0000 0.3389
Rh2 0.0000 0.0000 0.6611
Rh3 0.5000 0.5000 0.1618
Rh4 0.5000 0.5000 0.8382
```

Peak list (10 most intense, 15° ≤ 2θ ≤ 90°, by intensity)
2θ/deg  d (Å)  Rel. int.
40.51  2.227  100
47.12  1.929  48
83.04  1.163  36
68.85  1.364  30
87.64  1.113  11
15.31  5.787  5
36.42  2.467  2
51.81  1.765  2
23.05  3.858  1
33.77  2.654  1

Record 12
# Re2Tc2Rh
Theoretical PXRD pattern, Cu Kα (weighted mean of Kα1 and Kα2). Input: a structure optimized by DFT (GGA-PBE).

Structure:
```
data_Re2Tc2Rh
_symmetry_space_group_name_H-M 'P 1'
_symmetry_Int_Tables_number 1
_symmetry_space_group_name_Hall 'P 1'
_cell_length_a 2.7307
_cell_length_b 7.2827
_cell_length_c 7.8191
_cell_angle_alpha 105.52
_cell_angle_beta 90.03
_cell_angle_gamma 100.74
loop_
_atom_site_label
_atom_site_fract_x
_atom_site_fract_y
_atom_site_fract_z
Re1 0.1044 0.2042 0.0510
Re2 0.3019 0.6036 0.1517
Re3 0.6981 0.3964 0.8483
Re4 0.8956 0.7958 0.9490
Tc1 0.1057 0.2090 0.5521
Tc2 0.2992 0.5986 0.6488
Tc3 0.7008 0.4014 0.3512
Tc4 0.8943 0.7910 0.4479
Rh1 0.4995 0.9995 0.7517
Rh2 0.5005 0.0005 0.2483
```

Peak list (10 most intense, 15° ≤ 2θ ≤ 90°, by intensity)
2θ/deg  d (Å)  Rel. int.
40.05  2.251  100
40.29  2.239  99
46.85  1.939  64
68.11  1.377  52
46.45  1.955  33
82.63  1.168  18
82.17  1.173  18
81.91  1.176  13
81.76  1.178  13
86.45  1.126  11

Record 13
# Re3Tc2Rh
Theoretical PXRD pattern, Cu Kα (weighted mean of Kα1 and Kα2). Input: a structure optimized by DFT (GGA-PBE).

Structure:
```
data_Re3Tc2Rh
_symmetry_space_group_name_H-M 'P 1'
_symmetry_Int_Tables_number 1
_symmetry_space_group_name_Hall 'P 1'
_cell_length_a 2.7463
_cell_length_b 7.2797
_cell_length_c 9.5609
_cell_angle_alpha 109.19
_cell_angle_beta 90.02
_cell_angle_gamma 100.83
loop_
_atom_site_label
_atom_site_fract_x
_atom_site_fract_y
_atom_site_fract_z
Re1 0.0824 0.1677 0.3767
Re2 0.0828 0.1691 0.8758
Re3 0.4147 0.8306 0.3756
Re4 0.5853 0.1694 0.6244
Re5 0.9172 0.8309 0.1242
Re6 0.9176 0.8323 0.6233
Tc1 0.2510 0.4995 0.6258
Tc2 0.2532 0.5027 0.1248
Tc3 0.7468 0.4973 0.8752
Tc4 0.7490 0.5005 0.3742
Rh1 0.4160 0.8342 0.8761
Rh2 0.5840 0.1658 0.1239
```

Peak list (10 most intense, 15° ≤ 2θ ≤ 90°, by intensity)
2θ/deg  d (Å)  Rel. int.
40.16  2.246  100
46.72  1.944  43
40.03  2.252  34
46.58  1.950  22
68.16  1.376  21
82.04  1.175  21
68.02  1.378  14
82.24  1.172  13
86.73  1.123  11
82.20  1.173  9

Record 14
# ReTeRh2
Theoretical PXRD pattern, Cu Kα (weighted mean of Kα1 and Kα2). Input: a structure optimized by DFT (GGA-PBE).

Structure:
```
data_ReTeRh2
_symmetry_space_group_name_H-M 'P 1'
_symmetry_Int_Tables_number 1
_symmetry_space_group_name_Hall 'P 1'
_cell_length_a 4.1918
_cell_length_b 4.1918
_cell_length_c 7.2663
_cell_angle_alpha 90.00
_cell_angle_beta 90.00
_cell_angle_gamma 90.00
loop_
_atom_site_label
_atom_site_fract_x
_atom_site_fract_y
_atom_site_fract_z
Re1 0.0000 0.0000 0.0000
Re2 0.5000 0.5000 0.5000
Te1 0.0000 0.5000 0.2500
Te2 0.5000 0.0000 0.7500
Rh1 0.0000 0.0000 0.5000
Rh2 0.0000 0.5000 0.7500
Rh3 0.5000 0.0000 0.2500
Rh4 0.5000 0.5000 0.0000
```

Peak list (10 most intense, 15° ≤ 2θ ≤ 90°, by intensity)
2θ/deg  d (Å)  Rel. int.
39.23  2.297  100
43.16  2.096  40
76.50  1.245  28
68.33  1.373  21
50.23  1.816  15
62.69  1.482  14
84.34  1.148  12
86.89  1.121  10
24.51  3.631  9
30.15  2.964  1

Record 15
# VReRh4
Theoretical PXRD pattern, Cu Kα (weighted mean of Kα1 and Kα2). Input: a structure optimized by DFT (GGA-PBE).

Structure:
```
data_VReRh4
_symmetry_space_group_name_H-M 'P 1'
_symmetry_Int_Tables_number 1
_symmetry_space_group_name_Hall 'P 1'
_cell_length_a 2.7409
_cell_length_b 4.3542
_cell_length_c 7.1959
_cell_angle_alpha 90.00
_cell_angle_beta 101.06
_cell_angle_gamma 90.00
loop_
_atom_site_label
_atom_site_fract_x
_atom_site_fract_y
_atom_site_fract_z
V1 0.0000 0.0000 0.0000
Re1 0.7776 0.5000 0.5535
Rh1 0.1117 0.5000 0.2224
Rh2 0.3354 0.0000 0.6684
Rh3 0.4452 0.5000 0.8904
Rh4 0.6619 0.0000 0.3218
```

Peak list (10 most intense, 15° ≤ 2θ ≤ 90°, by intensity)
2θ/deg  d (Å)  Rel. int.
43.49  2.081  100
43.71  2.071  45
41.48  2.177  36
37.99  2.369  25
83.78  1.155  18
77.06  1.238  18
68.95  1.362  15
57.49  1.603  15
38.23  2.354  14
83.32  1.160  9